(1)
Structure and theoretical X-ray powder pattern of TlHg3Sb2Br3 (a GGA-PBE-relaxed structure; Cu Kα).
Peak positions follow from Bragg's law for the DFT cell and can differ from measured ones.

Most intense lines, 2θ = 5–70°, low angle first:
- d = 3.847 Å, intensity 62
- d = 3.345 Å, intensity 38
- d = 3.325 Å, intensity 100
- d = 3.229 Å, intensity 10
- d = 2.358 Å, intensity 57
- d = 2.351 Å, intensity 36
- d = 2.015 Å, intensity 30
- d = 2.006 Å, intensity 44
- d = 1.924 Å, intensity 30
- d = 1.530 Å, intensity 17
- d = 1.488 Å, intensity 19
- d = 1.359 Å, intensity 17

Structural model:
a = 6.689 Å, b = 13.309 Å, c = 13.293 Å
α = 90.00°, β = 90.00°, γ = 90.00°
Positions (direct):
Tl 0.001 0.242 0.250
Tl 0.001 0.258 0.750
Tl 0.999 0.742 0.250
Tl 0.999 0.758 0.750
Hg 0.000 0.000 0.000
Hg 0.000 0.000 0.500
Hg 0.000 0.500 0.000
Hg 0.000 0.500 0.500
Hg 0.470 0.750 0.000
Hg 0.470 0.750 0.500
Hg 0.471 0.511 0.750
Hg 0.471 0.989 0.250
Hg 0.529 0.011 0.750
Hg 0.529 0.489 0.250
Hg 0.530 0.250 0.000
Hg 0.530 0.250 0.500
Sb 0.372 0.560 0.557
Sb 0.372 0.560 0.943
Sb 0.372 0.940 0.057
Sb 0.372 0.940 0.443
Sb 0.628 0.060 0.557
Sb 0.628 0.060 0.943
Sb 0.628 0.440 0.057
Sb 0.628 0.440 0.443
Br 0.095 0.009 0.750
Br 0.095 0.491 0.250
Br 0.096 0.250 0.000
Br 0.096 0.250 0.500
Br 0.476 0.207 0.250
Br 0.476 0.293 0.750
Br 0.524 0.707 0.250
Br 0.524 0.793 0.750
Br 0.904 0.750 0.000
Br 0.904 0.750 0.500
Br 0.905 0.509 0.750
Br 0.905 0.991 0.250

---

(2)
Structure and theoretical X-ray powder pattern of SrCdSnAs2 (a GGA-PBE-relaxed structure; Cu Kα).
Peak positions follow from Bragg's law for the DFT cell and can differ from measured ones.

Most intense lines, 2θ = 5–70°, low angle first:
- d = 8.468 Å, intensity 46
- d = 3.225 Å, intensity 29
- d = 3.165 Å, intensity 49
- d = 2.736 Å, intensity 75
- d = 2.721 Å, intensity 100
- d = 2.692 Å, intensity 21
- d = 2.617 Å, intensity 28
- d = 2.535 Å, intensity 17
- d = 2.489 Å, intensity 90
- d = 2.285 Å, intensity 57
- d = 2.044 Å, intensity 17
- d = 1.574 Å, intensity 17

Structural model:
a = 8.771 Å, b = 8.771 Å, c = 6.976 Å
α = 90.00°, β = 90.00°, γ = 149.80°
Positions (direct):
Sr 0.193 0.807 0.500
Sr 0.807 0.193 0.000
Cd 0.399 0.601 0.350
Cd 0.601 0.399 0.850
Sn 0.031 0.969 0.180
Sn 0.969 0.031 0.680
As 0.177 0.823 0.978
As 0.440 0.560 0.954
As 0.560 0.440 0.454
As 0.823 0.177 0.478

---

(3)
Structure and theoretical X-ray powder pattern of CdTePdO (a GGA-PBE-relaxed structure; Cu Kα).
Peak positions follow from Bragg's law for the DFT cell and can differ from measured ones.

Most intense lines, 2θ = 5–70°, low angle first:
- d = 3.010 Å, intensity 17
- d = 2.900 Å, intensity 21
- d = 2.880 Å, intensity 100
- d = 2.740 Å, intensity 44
- d = 2.598 Å, intensity 71
- d = 2.323 Å, intensity 75
- d = 2.227 Å, intensity 28
- d = 2.072 Å, intensity 26
- d = 1.900 Å, intensity 27
- d = 1.646 Å, intensity 17
- d = 1.630 Å, intensity 17
- d = 1.561 Å, intensity 15

Structural model:
a = 3.800 Å, b = 13.237 Å, c = 6.021 Å
α = 90.00°, β = 90.00°, γ = 90.00°
Positions (direct):
Cd 0.000 0.202 0.000
Cd 0.000 0.798 0.500
Cd 0.500 0.298 0.500
Cd 0.500 0.702 0.000
Te 0.000 0.118 0.498
Te 0.000 0.882 0.998
Te 0.500 0.382 0.998
Te 0.500 0.618 0.498
Pd 0.000 0.500 0.248
Pd 0.000 0.500 0.748
Pd 0.500 0.000 0.248
Pd 0.500 0.000 0.748
O 0.000 0.392 0.498
O 0.000 0.608 0.998
O 0.500 0.108 0.998
O 0.500 0.892 0.498

---

(4)
Structure and theoretical X-ray powder pattern of Y2SiAg2Sn (a GGA-PBE-relaxed structure; Cu Kα).
Peak positions follow from Bragg's law for the DFT cell and can differ from measured ones.

Most intense lines, 2θ = 5–70°, low angle first:
- d = 10.756 Å, intensity 2
- d = 3.807 Å, intensity 42
- d = 3.590 Å, intensity 2
- d = 3.297 Å, intensity 5
- d = 2.843 Å, intensity 2
- d = 2.331 Å, intensity 100
- d = 1.988 Å, intensity 18
- d = 1.649 Å, intensity 16
- d = 1.513 Å, intensity 6
- d = 1.511 Å, intensity 2
- d = 1.346 Å, intensity 25
- d = 1.345 Å, intensity 8

Structural model:
a = 11.408 Å, b = 4.669 Å, c = 11.422 Å
α = 90.00°, β = 109.50°, γ = 90.00°
Positions (direct):
Y 0.000 0.000 0.000
Y 0.120 0.500 0.369
Y 0.240 0.000 0.739
Y 0.373 0.500 0.114
Y 0.507 0.000 0.492
Y 0.633 0.500 0.878
Y 0.753 0.000 0.249
Y 0.874 0.500 0.617
Si 0.124 0.500 0.868
Si 0.627 0.500 0.370
Si 0.877 0.500 0.123
Si 0.998 0.000 0.494
Ag 0.117 0.500 0.617
Ag 0.242 0.000 0.985
Ag 0.381 0.500 0.368
Ag 0.499 0.000 0.745
Ag 0.632 0.500 0.130
Ag 0.754 0.000 0.491
Ag 0.886 0.500 0.876
Ag 0.996 0.000 0.247
Sn 0.251 0.000 0.244
Sn 0.375 0.500 0.619
Sn 0.501 0.000 0.995
Sn 0.753 0.000 0.747

---

(5)
Structure and theoretical X-ray powder pattern of SmSCl (a GGA-PBE-relaxed structure; Cu Kα).
Peak positions follow from Bragg's law for the DFT cell and can differ from measured ones.

Most intense lines, 2θ = 5–70°, low angle first:
- d = 6.672 Å, intensity 30
- d = 4.814 Å, intensity 23
- d = 4.183 Å, intensity 100
- d = 3.675 Å, intensity 82
- d = 3.396 Å, intensity 27
- d = 2.935 Å, intensity 49
- d = 2.407 Å, intensity 30
- d = 2.386 Å, intensity 26
- d = 2.369 Å, intensity 34
- d = 2.180 Å, intensity 20
- d = 2.149 Å, intensity 19
- d = 2.049 Å, intensity 21

Structural model:
a = 6.798 Å, b = 6.826 Å, c = 6.920 Å
α = 90.00°, β = 101.04°, γ = 90.00°
Positions (direct):
Sm 0.189 0.044 0.293
Sm 0.189 0.456 0.793
Sm 0.811 0.544 0.207
Sm 0.811 0.956 0.707
S 0.061 0.743 0.512
S 0.061 0.757 0.012
S 0.939 0.243 0.988
S 0.939 0.257 0.488
Cl 0.435 0.162 0.665
Cl 0.435 0.338 0.165
Cl 0.565 0.662 0.835
Cl 0.565 0.838 0.335

---

(6)
Structure and theoretical X-ray powder pattern of Nd6Fe13Hg (a GGA-PBE-relaxed structure; Cu Kα).
Peak positions follow from Bragg's law for the DFT cell and can differ from measured ones.

Most intense lines, 2θ = 5–70°, low angle first:
- d = 3.245 Å, intensity 66
- d = 3.187 Å, intensity 31
- d = 2.829 Å, intensity 100
- d = 2.776 Å, intensity 40
- d = 2.576 Å, intensity 41
- d = 2.529 Å, intensity 94
- d = 2.471 Å, intensity 30
- d = 2.344 Å, intensity 67
- d = 2.088 Å, intensity 38
- d = 1.933 Å, intensity 32
- d = 1.789 Å, intensity 41
- d = 1.579 Å, intensity 33

Structural model:
a = 12.881 Å, b = 12.881 Å, c = 12.881 Å
α = 143.83°, β = 143.83°, γ = 52.09°
Positions (direct):
Nd 0.023 0.523 0.175
Nd 0.106 0.106 0.000
Nd 0.151 0.977 0.500
Nd 0.349 0.849 0.825
Nd 0.394 0.394 0.000
Nd 0.477 0.651 0.500
Nd 0.523 0.349 0.500
Nd 0.606 0.606 0.000
Nd 0.651 0.151 0.175
Nd 0.849 0.023 0.500
Nd 0.894 0.894 0.000
Nd 0.977 0.477 0.825
Fe 0.000 0.500 0.500
Fe 0.019 0.292 0.500
Fe 0.067 0.210 0.276
Fe 0.120 0.620 0.858
Fe 0.208 0.481 0.500
Fe 0.210 0.933 0.143
Fe 0.238 0.738 0.858
Fe 0.262 0.120 0.500
Fe 0.290 0.433 0.724
Fe 0.292 0.792 0.273
Fe 0.380 0.238 0.500
Fe 0.433 0.710 0.143
Fe 0.481 0.981 0.273
Fe 0.500 0.000 0.500
Fe 0.519 0.019 0.727
Fe 0.567 0.290 0.857
Fe 0.620 0.762 0.500
Fe 0.708 0.208 0.727
Fe 0.710 0.567 0.276
Fe 0.738 0.880 0.500
Fe 0.762 0.262 0.142
Fe 0.790 0.067 0.857
Fe 0.792 0.519 0.500
Fe 0.880 0.380 0.142
Fe 0.933 0.790 0.724
Fe 0.981 0.708 0.500
Hg 0.250 0.250 0.000
Hg 0.750 0.750 0.000

---

(7)
Structure and theoretical X-ray powder pattern of LaIn8Fe4 (a GGA-PBE-relaxed structure; Cu Kα).
Peak positions follow from Bragg's law for the DFT cell and can differ from measured ones.

Most intense lines, 2θ = 5–70°, low angle first:
- d = 3.419 Å, intensity 13
- d = 2.789 Å, intensity 32
- d = 2.777 Å, intensity 23
- d = 2.417 Å, intensity 100
- d = 2.408 Å, intensity 23
- d = 2.163 Å, intensity 23
- d = 2.156 Å, intensity 37
- d = 1.824 Å, intensity 7
- d = 1.524 Å, intensity 15
- d = 1.458 Å, intensity 7
- d = 1.396 Å, intensity 35
- d = 1.388 Å, intensity 6

Structural model:
a = 7.384 Å, b = 7.384 Å, c = 7.384 Å
α = 98.13°, β = 98.13°, γ = 135.82°
Positions (direct):
La 0.000 0.000 0.000
In 0.000 0.335 0.335
In 0.000 0.665 0.665
In 0.278 0.500 0.778
In 0.335 0.000 0.335
In 0.500 0.278 0.778
In 0.500 0.722 0.222
In 0.665 0.000 0.665
In 0.722 0.500 0.222
Fe 0.000 0.000 0.500
Fe 0.000 0.500 0.000
Fe 0.500 0.000 0.000
Fe 0.500 0.500 0.500

---

(8)
Structure and theoretical X-ray powder pattern of CdHPt3 (a GGA-PBE-relaxed structure; Cu Kα).
Peak positions follow from Bragg's law for the DFT cell and can differ from measured ones.

Most intense lines, 2θ = 5–70°, low angle first:
- d = 4.111 Å, intensity 5
- d = 2.914 Å, intensity 2
- d = 2.900 Å, intensity 2
- d = 2.378 Å, intensity 100
- d = 2.362 Å, intensity 33
- d = 2.056 Å, intensity 66
- d = 1.842 Å, intensity 2
- d = 1.835 Å, intensity 1
- d = 1.681 Å, intensity 2
- d = 1.457 Å, intensity 22
- d = 1.450 Å, intensity 21
- d = 1.370 Å, intensity 1

Structural model:
a = 5.828 Å, b = 5.828 Å, c = 7.087 Å
α = 90.00°, β = 90.00°, γ = 120.00°
Positions (direct):
Cd 0.000 0.000 0.000
Cd 0.333 0.667 0.667
Cd 0.667 0.333 0.333
H 0.000 0.000 0.589
H 0.333 0.667 0.256
H 0.667 0.333 0.922
Pt 0.009 0.505 0.003
Pt 0.162 0.324 0.336
Pt 0.162 0.838 0.336
Pt 0.343 0.171 0.670
Pt 0.495 0.505 0.003
Pt 0.495 0.991 0.003
Pt 0.676 0.838 0.336
Pt 0.829 0.171 0.670
Pt 0.829 0.657 0.670